[1]
Diffraction record for Li3NbS4. The powder X-ray diffraction pattern is theoretical, not measured: it uses a DFT-relaxed cell (GGA-PBE, Alexandria) and copper Kα.

Cell and atoms:
```
data_Li3NbS4
_chemical_formula_sum 'Li12 Nb4 S16'
_symmetry_space_group_name_H-M 'P n m a'
_symmetry_Int_Tables_number 62
_cell_length_a 7.2829
_cell_length_b 9.6578
_cell_length_c 9.7018
_cell_angle_alpha 90.00
_cell_angle_beta 90.00
_cell_angle_gamma 90.00
loop_
_symmetry_equiv_pos_as_xyz
'x,y,z'
'-x,-y,-z'
'-x+1/2,-y,z+1/2'
'x+1/2,y,-z+1/2'
'x+1/2,-y+1/2,-z+1/2'
'-x+1/2,y+1/2,z+1/2'
'-x,y+1/2,-z'
'x,-y+1/2,z'
loop_
_atom_site_label
_atom_site_fract_x
_atom_site_fract_y
_atom_site_fract_z
_atom_site_occupancy
Li1 0.0198 0.2500 0.1118 1
Li2 0.2462 0.0634 0.7687 1
Nb1 0.0746 0.7500 0.5060 1
S1 0.0048 0.7500 0.2726 1
S2 0.1732 0.2500 0.3490 1
S3 0.2368 0.0621 0.0372 1
```

Main lines, low angle first (2θ from 10° to 90°):
d (Å)	Rel. int.
5.824	100
4.988	47
4.839	96
3.717	84
2.908	38
1.901	36



[2]
Diffraction record for CaTb6Th. The powder X-ray diffraction pattern is theoretical, not measured: it uses a DFT-relaxed cell (GGA-PBE, Alexandria) and copper Kα.

Cell and atoms:
```
data_CaTb6Th
_chemical_formula_sum 'Ca1 Tb6 Th1'
_symmetry_space_group_name_H-M 'P -1'
_symmetry_Int_Tables_number 2
_cell_length_a 6.7311
_cell_length_b 6.7657
_cell_length_c 6.7987
_cell_angle_alpha 117.34
_cell_angle_beta 101.11
_cell_angle_gamma 91.56
loop_
_symmetry_equiv_pos_as_xyz
'x,y,z'
'-x,-y,-z'
loop_
_atom_site_label
_atom_site_fract_x
_atom_site_fract_y
_atom_site_fract_z
_atom_site_occupancy
Ca1 0.0000 0.0000 0.0000 1
Tb1 0.2430 0.5745 0.4849 1
Tb2 0.2557 0.5435 0.9945 1
Tb3 0.2832 0.0940 0.5257 1
Th1 0.5000 0.0000 0.0000 1
```

Main lines, low angle first (2θ from 10° to 90°):
d (Å)	Rel. int.
3.273	39
2.978	70
2.938	100
2.883	49
2.737	71
2.585	40



[3]
Diffraction record for Cs3K7Na4. The powder X-ray diffraction pattern is theoretical, not measured: it uses a DFT-relaxed cell (GGA-PBE, Alexandria) and copper Kα.

Cell and atoms:
```
data_Cs3K7Na4
_chemical_formula_sum 'Cs6 K14 Na8'
_symmetry_space_group_name_H-M 'C 1 2/m 1'
_symmetry_Int_Tables_number 12
_cell_length_a 24.0978
_cell_length_b 6.6361
_cell_length_c 15.5548
_cell_angle_alpha 90.00
_cell_angle_beta 126.91
_cell_angle_gamma 90.00
loop_
_symmetry_equiv_pos_as_xyz
'x,y,z'
'-x,-y,-z'
'-x,y,-z'
'x,-y,z'
'x+1/2,y+1/2,z'
'-x+1/2,-y+1/2,-z'
'-x+1/2,y+1/2,-z'
'x+1/2,-y+1/2,z'
loop_
_atom_site_label
_atom_site_fract_x
_atom_site_fract_y
_atom_site_fract_z
_atom_site_occupancy
Cs1 0.0000 0.0000 0.0000 1
Cs2 0.1953 0.5000 0.7093 1
K1 0.0000 0.0000 0.5000 1
K2 0.0154 0.5000 0.3055 1
K3 0.1663 0.0000 0.4273 1
K4 0.1839 0.5000 0.0189 1
Na1 0.1065 0.0000 0.8268 1
Na2 0.1586 0.5000 0.2524 1
```

Main lines, low angle first (2θ from 10° to 90°):
d (Å)	Rel. int.
6.102	45
4.082	44
4.040	68
3.894	100
3.822	44
3.318	46



[4]
Diffraction record for Y3Ga2Ni2. The powder X-ray diffraction pattern is theoretical, not measured: it uses a DFT-relaxed cell (GGA-PBE, Alexandria) and copper Kα.

Cell and atoms:
```
data_Y3Ga2Ni2
_chemical_formula_sum 'Y12 Ga8 Ni8'
_symmetry_space_group_name_H-M 'P b c m'
_symmetry_Int_Tables_number 57
_cell_length_a 5.5088
_cell_length_b 7.9223
_cell_length_c 12.9817
_cell_angle_alpha 90.00
_cell_angle_beta 90.00
_cell_angle_gamma 90.00
loop_
_symmetry_equiv_pos_as_xyz
'x,y,z'
'-x,-y,-z'
'-x,-y,z+1/2'
'x,y,-z+1/2'
'x,-y+1/2,-z'
'-x,y+1/2,z'
'-x,y+1/2,-z+1/2'
'x,-y+1/2,z+1/2'
loop_
_atom_site_label
_atom_site_fract_x
_atom_site_fract_y
_atom_site_fract_z
_atom_site_occupancy
Y1 0.1417 0.2454 0.2500 1
Y2 0.3504 0.6022 0.1002 1
Ga1 0.1461 0.2500 0.0000 1
Ga2 0.3516 0.6055 0.7500 1
Ni1 0.1264 0.5338 0.5897 1
```

Main lines, low angle first (2θ from 10° to 90°):
d (Å)	Rel. int.
2.637	52
2.602	63
2.581	52
2.510	51
2.381	89
2.230	100



[5]
Diffraction record for AlInS3. The powder X-ray diffraction pattern is theoretical, not measured: it uses a DFT-relaxed cell (GGA-PBE, Alexandria) and copper Kα.

Cell and atoms:
```
data_AlInS3
_chemical_formula_sum 'Al6 In6 S18'
_symmetry_space_group_name_H-M 'P 61'
_symmetry_Int_Tables_number 169
_cell_length_a 6.8438
_cell_length_b 6.8438
_cell_length_c 18.0859
_cell_angle_alpha 90.00
_cell_angle_beta 90.00
_cell_angle_gamma 120.00
loop_
_symmetry_equiv_pos_as_xyz
'x,y,z'
'x-y,x,z+1/6'
'-y,x-y,z+1/3'
'-x,-y,z+1/2'
'-x+y,-x,z+2/3'
'y,-x+y,z+5/6'
loop_
_atom_site_label
_atom_site_fract_x
_atom_site_fract_y
_atom_site_fract_z
_atom_site_occupancy
Al1 0.0217 0.6864 0.0000 1
In1 0.0016 0.3359 0.1382 1
S1 0.0083 0.7148 0.1264 1
S2 0.0293 0.3723 0.2865 1
S3 0.0297 0.6649 0.4889 1
```

Main lines, low angle first (2θ from 10° to 90°):
d (Å)	Rel. int.
5.632	92
4.957	100
3.422	88
3.014	66
1.976	63
1.652	53



[6]
Diffraction record for SmZn2Pt6. The powder X-ray diffraction pattern is theoretical, not measured: it uses a DFT-relaxed cell (GGA-PBE, Alexandria) and copper Kα.

Cell and atoms:
Lattice parameters (Å, degrees): 11.3124 11.3124 11.3124 90.00 90.00 90.00
Space group Fd-3m (No. 227, origin choice 2)
Inequivalent atoms, fractional coordinates:
Sm  0.1250  0.1250  0.1250 (multiplicity 8)
Zn  0.0000  0.0000  0.5000 (multiplicity 16)
Pt  0.1191  0.3750  0.3750 (multiplicity 48)

Main lines, low angle first (2θ from 10° to 90°):
d (Å)	Rel. int.
4.000	17
2.828	86
2.000	100
1.633	23
1.265	29
1.155	34



[7]
Diffraction record for BaAgPd2F8. The powder X-ray diffraction pattern is theoretical, not measured: it uses a DFT-relaxed cell (GGA-PBE, Alexandria) and copper Kα.

Cell and atoms:
```
data_BaAgPd2F8
_chemical_formula_sum 'Ba2 Ag2 Pd4 F16'
_symmetry_space_group_name_H-M 'I -4'
_symmetry_Int_Tables_number 82
_cell_length_a 6.0486
_cell_length_b 6.0486
_cell_length_c 10.0558
_cell_angle_alpha 90.00
_cell_angle_beta 90.00
_cell_angle_gamma 90.00
loop_
_symmetry_equiv_pos_as_xyz
'x,y,z'
'y,-x,-z'
'-x,-y,z'
'-y,x,-z'
'x+1/2,y+1/2,z+1/2'
'y+1/2,-x+1/2,-z+1/2'
'-x+1/2,-y+1/2,z+1/2'
'-y+1/2,x+1/2,-z+1/2'
loop_
_atom_site_label
_atom_site_fract_x
_atom_site_fract_y
_atom_site_fract_z
_atom_site_occupancy
Ba1 0.0000 0.0000 0.0000 1
Ag1 0.0000 0.5000 0.7500 1
Pd1 0.0000 0.0000 0.5000 1
Pd2 0.0000 0.5000 0.2500 1
F1 0.0982 0.3121 0.5083 1
F2 0.1365 0.8028 0.2403 1
```

Main lines, low angle first (2θ from 10° to 90°):
d (Å)	Rel. int.
3.258	100
3.024	39
2.514	27
2.139	18
1.933	22
1.788	55